1.
Simulated powder diffractogram
Compound: Sm4ErAg
Radiation: λ = 1.5418 Å (Cu Kα)
Structure: a structure optimized by DFT (GGA-PBE)

The 8 most intense peaks (2θ = 15–90°), sorted by position:
31.24°, I 100
35.09°, I 41
38.41°, I 10
50.47°, I 14
53.00°, I 16
60.56°, I 30
65.16°, I 9
84.77°, I 10

Atomic structure:
```
data_Sm4ErAg
_chemical_formula_sum 'Sm4 Er1 Ag1'
_symmetry_space_group_name_H-M 'P 1'
_symmetry_Int_Tables_number 1
_symmetry_space_group_name_Hall 'P 1'
_cell_length_a 3.617
_cell_length_b 3.617
_cell_length_c 14.062
_cell_angle_alpha 90.00
_cell_angle_beta 90.00
_cell_angle_gamma 90.00
loop_
_atom_site_label
_atom_site_type_symbol
_atom_site_fract_x
_atom_site_fract_y
_atom_site_fract_z
_atom_site_occupancy
Sm1 Sm 0.000 0.000 0.139 1
Sm2 Sm 0.000 0.000 0.861 1
Sm3 Sm 0.500 0.500 0.324 1
Sm4 Sm 0.500 0.500 0.676 1
Er1 Er 0.000 0.000 0.500 1
Ag1 Ag 0.500 0.500 0.000 1
```


2.
Simulated powder diffractogram
Compound: Sm2ErTl2Ag2
Radiation: λ = 1.5418 Å (Cu Kα)
Structure: a structure optimized by DFT (GGA-PBE)

The 8 most intense peaks (2θ = 15–90°), sorted by position:
19.48°, I 14
31.18°, I 35
33.73°, I 100
36.83°, I 98
50.80°, I 31
63.73°, I 22
64.38°, I 31
66.35°, I 17

Atomic structure:
```
data_Sm2ErTl2Ag2
_chemical_formula_sum 'Sm2 Er1 Tl2 Ag2'
_symmetry_space_group_name_H-M 'P 1'
_symmetry_Int_Tables_number 1
_symmetry_space_group_name_Hall 'P 1'
_cell_length_a 9.540
_cell_length_b 9.540
_cell_length_c 9.540
_cell_angle_alpha 29.64
_cell_angle_beta 29.64
_cell_angle_gamma 29.64
loop_
_atom_site_label
_atom_site_type_symbol
_atom_site_fract_x
_atom_site_fract_y
_atom_site_fract_z
_atom_site_occupancy
Sm1 Sm 0.124 0.124 0.124 1
Sm2 Sm 0.876 0.876 0.876 1
Er1 Er 0.000 0.000 0.000 1
Tl1 Tl 0.261 0.261 0.261 1
Tl2 Tl 0.739 0.739 0.739 1
Ag1 Ag 0.389 0.389 0.389 1
Ag2 Ag 0.611 0.611 0.611 1
```


3.
Simulated powder diffractogram
Compound: Tb3Er4Ag4
Radiation: λ = 1.5418 Å (Cu Kα)
Structure: a structure optimized by DFT (GGA-PBE)

The 8 most intense peaks (2θ = 15–90°), sorted by position:
30.35°, I 100
30.86°, I 27
31.32°, I 41
33.69°, I 18
34.47°, I 31
35.91°, I 47
41.63°, I 23
42.07°, I 25

Atomic structure:
```
data_Tb3Er4Ag4
_chemical_formula_sum 'Tb3 Er4 Ag4'
_symmetry_space_group_name_H-M 'P 1'
_symmetry_Int_Tables_number 1
_symmetry_space_group_name_Hall 'P 1'
_cell_length_a 9.055
_cell_length_b 9.055
_cell_length_c 9.055
_cell_angle_alpha 147.94
_cell_angle_beta 131.12
_cell_angle_gamma 59.66
loop_
_atom_site_label
_atom_site_type_symbol
_atom_site_fract_x
_atom_site_fract_y
_atom_site_fract_z
_atom_site_occupancy
Tb1 Tb 0.000 0.000 0.000 1
Tb2 Tb 0.395 0.895 0.500 1
Tb3 Tb 0.605 0.105 0.500 1
Er1 Er 0.046 0.325 0.721 1
Er2 Er 0.396 0.675 0.721 1
Er3 Er 0.604 0.325 0.279 1
Er4 Er 0.954 0.675 0.279 1
Ag1 Ag 0.197 0.197 0.000 1
Ag2 Ag 0.312 0.500 0.812 1
Ag3 Ag 0.688 0.500 0.188 1
Ag4 Ag 0.803 0.803 0.000 1
```


4.
Simulated powder diffractogram
Compound: TbEr4Ag
Radiation: λ = 1.5418 Å (Cu Kα)
Structure: a structure optimized by DFT (GGA-PBE)

The 8 most intense peaks (2θ = 15–90°), sorted by position:
31.99°, I 100
36.11°, I 41
39.04°, I 10
49.25°, I 8
52.00°, I 15
54.23°, I 15
59.54°, I 9
62.37°, I 29

Atomic structure:
```
data_TbEr4Ag
_chemical_formula_sum 'Tb1 Er4 Ag1'
_symmetry_space_group_name_H-M 'P 1'
_symmetry_Int_Tables_number 1
_symmetry_space_group_name_Hall 'P 1'
_cell_length_a 3.517
_cell_length_b 3.517
_cell_length_c 13.842
_cell_angle_alpha 90.00
_cell_angle_beta 90.00
_cell_angle_gamma 90.00
loop_
_atom_site_label
_atom_site_type_symbol
_atom_site_fract_x
_atom_site_fract_y
_atom_site_fract_z
_atom_site_occupancy
Tb1 Tb 0.000 0.000 0.000 1
Er1 Er 0.000 0.000 0.362 1
Er2 Er 0.000 0.000 0.638 1
Er3 Er 0.500 0.500 0.181 1
Er4 Er 0.500 0.500 0.819 1
Ag1 Ag 0.500 0.500 0.500 1
```


5.
Simulated powder diffractogram
Compound: Tb3ErAg
Radiation: λ = 1.5418 Å (Cu Kα)
Structure: a structure optimized by DFT (GGA-PBE)

The 8 most intense peaks (2θ = 15–90°), sorted by position:
26.87°, I 47
29.48°, I 51
32.26°, I 81
34.30°, I 100
34.55°, I 94
34.86°, I 41
35.27°, I 41
56.69°, I 31

Atomic structure:
```
data_Tb3ErAg
_chemical_formula_sum 'Tb6 Er2 Ag2'
_symmetry_space_group_name_H-M 'P 1'
_symmetry_Int_Tables_number 1
_symmetry_space_group_name_Hall 'P 1'
_cell_length_a 6.692
_cell_length_b 6.692
_cell_length_c 7.762
_cell_angle_alpha 107.90
_cell_angle_beta 107.90
_cell_angle_gamma 67.90
loop_
_atom_site_label
_atom_site_type_symbol
_atom_site_fract_x
_atom_site_fract_y
_atom_site_fract_z
_atom_site_occupancy
Tb1 Tb 0.056 0.056 0.239 1
Tb2 Tb 0.086 0.585 0.350 1
Tb3 Tb 0.415 0.914 0.650 1
Tb4 Tb 0.585 0.086 0.350 1
Tb5 Tb 0.914 0.415 0.650 1
Tb6 Tb 0.944 0.944 0.761 1
Er1 Er 0.442 0.442 0.759 1
Er2 Er 0.558 0.558 0.241 1
Ag1 Ag 0.255 0.255 0.999 1
Ag2 Ag 0.745 0.745 0.001 1
```


6.
Simulated powder diffractogram
Compound: Er6AgTe5
Radiation: λ = 1.5418 Å (Cu Kα)
Structure: a structure optimized by DFT (GGA-PBE)

The 8 most intense peaks (2θ = 15–90°), sorted by position:
29.25°, I 100
41.84°, I 73
51.84°, I 19
51.92°, I 6
60.65°, I 11
68.70°, I 15
68.78°, I 15
76.44°, I 16

Atomic structure:
```
data_Er6AgTe5
_chemical_formula_sum 'Er6 Ag1 Te5'
_symmetry_space_group_name_H-M 'P 1'
_symmetry_Int_Tables_number 1
_symmetry_space_group_name_Hall 'P 1'
_cell_length_a 7.480
_cell_length_b 7.480
_cell_length_c 7.473
_cell_angle_alpha 99.62
_cell_angle_beta 99.62
_cell_angle_gamma 119.90
loop_
_atom_site_label
_atom_site_type_symbol
_atom_site_fract_x
_atom_site_fract_y
_atom_site_fract_z
_atom_site_occupancy
Er1 Er 0.076 0.389 0.733 1
Er2 Er 0.229 0.229 0.256 1
Er3 Er 0.389 0.076 0.733 1
Er4 Er 0.611 0.924 0.267 1
Er5 Er 0.771 0.771 0.744 1
Er6 Er 0.924 0.611 0.267 1
Ag1 Ag 0.000 0.000 0.500 1
Te1 Te 0.178 0.822 0.000 1
Te2 Te 0.337 0.663 0.500 1
Te3 Te 0.500 0.500 0.000 1
Te4 Te 0.663 0.337 0.500 1
Te5 Te 0.822 0.178 0.000 1
```


7.
Simulated powder diffractogram
Compound: Er7Ag2Te2
Radiation: λ = 1.5418 Å (Cu Kα)
Structure: a structure optimized by DFT (GGA-PBE)

The 8 most intense peaks (2θ = 15–90°), sorted by position:
29.33°, I 51
30.27°, I 23
32.79°, I 50
33.29°, I 100
33.67°, I 50
37.52°, I 22
44.66°, I 30
56.50°, I 21

Atomic structure:
```
data_Er7Ag2Te2
_chemical_formula_sum 'Er7 Ag2 Te2'
_symmetry_space_group_name_H-M 'P 1'
_symmetry_Int_Tables_number 1
_symmetry_space_group_name_Hall 'P 1'
_cell_length_a 9.354
_cell_length_b 9.354
_cell_length_c 9.354
_cell_angle_alpha 154.95
_cell_angle_beta 68.06
_cell_angle_gamma 117.89
loop_
_atom_site_label
_atom_site_type_symbol
_atom_site_fract_x
_atom_site_fract_y
_atom_site_fract_z
_atom_site_occupancy
Er1 Er 0.000 0.000 0.000 1
Er2 Er 0.287 0.412 0.875 1
Er3 Er 0.307 0.623 0.683 1
Er4 Er 0.537 0.412 0.125 1
Er5 Er 0.615 0.255 0.360 1
Er6 Er 0.894 0.255 0.640 1
Er7 Er 0.940 0.623 0.317 1
Ag1 Ag 0.160 0.924 0.235 1
Ag2 Ag 0.689 0.924 0.765 1
Te1 Te 0.262 0.762 0.500 1
Te2 Te 0.661 0.661 0.000 1
```


8.
Simulated powder diffractogram
Compound: Er4AgTe2
Radiation: λ = 1.5418 Å (Cu Kα)
Structure: a structure optimized by DFT (GGA-PBE)

The 8 most intense peaks (2θ = 15–90°), sorted by position:
26.97°, I 70
30.10°, I 82
30.22°, I 35
35.88°, I 100
35.94°, I 25
38.52°, I 26
45.44°, I 31
49.66°, I 21

Atomic structure:
```
data_Er4AgTe2
_chemical_formula_sum 'Er8 Ag2 Te4'
_symmetry_space_group_name_H-M 'P 1'
_symmetry_Int_Tables_number 1
_symmetry_space_group_name_Hall 'P 1'
_cell_length_a 8.109
_cell_length_b 8.109
_cell_length_c 8.109
_cell_angle_alpha 109.63
_cell_angle_beta 109.55
_cell_angle_gamma 109.22
loop_
_atom_site_label
_atom_site_type_symbol
_atom_site_fract_x
_atom_site_fract_y
_atom_site_fract_z
_atom_site_occupancy
Er1 Er 0.015 0.103 0.985 1
Er2 Er 0.029 0.015 0.411 1
Er3 Er 0.103 0.618 0.089 1
Er4 Er 0.397 0.485 0.515 1
Er5 Er 0.471 0.882 0.985 1
Er6 Er 0.485 0.470 0.088 1
Er7 Er 0.618 0.030 0.515 1
Er8 Er 0.882 0.397 0.412 1
Ag1 Ag 0.125 0.375 0.750 1
Ag2 Ag 0.375 0.125 0.250 1
Te1 Te 0.250 0.789 0.539 1
Te2 Te 0.712 0.250 0.962 1
Te3 Te 0.750 0.711 0.961 1
Te4 Te 0.788 0.750 0.538 1
```